No. 1
CeSmCu4: calculated powder diffraction line list (λ = 1.5418 Å (Cu Kα)), based on a structure optimized by DFT (PBE).
Neutral-atom scattering factors, no anomalous dispersion.

The 8 most intense peaks (2θ = 15–90°), sorted by position:
| two_theta | Rel. int. |
| --- | --- |
| 28.6 | 307 |
| 34.5 | 1000 |
| 37.0 | 560 |
| 46.5 | 354 |
| 47.1 | 318 |
| 60.8 | 252 |
| 68.4 | 200 |
| 78.3 | 175 |

```
CeSmCu4
1.0
3.908 0.000 0.000
0.000 3.908 0.000
0.000 0.000 15.511
Ce Sm Cu
2 2 8
direct
0.000 0.000 0.000
0.500 0.500 0.500
0.000 0.500 0.750
0.500 0.000 0.250
0.000 0.000 0.420
0.000 0.000 0.580
0.000 0.500 0.171
0.000 0.500 0.329
0.500 0.000 0.671
0.500 0.000 0.829
0.500 0.500 0.080
0.500 0.500 0.920
```


No. 2
SrTa4Re: calculated powder diffraction line list (λ = 1.5418 Å (Cu Kα)), based on a structure optimized by DFT (PBE).
Neutral-atom scattering factors, no anomalous dispersion.

The 8 most intense peaks (2θ = 15–90°), sorted by position:
| two_theta | Rel. int. |
| --- | --- |
| 19.6 | 181 |
| 32.2 | 188 |
| 38.0 | 1000 |
| 39.7 | 499 |
| 61.3 | 333 |
| 67.4 | 299 |
| 80.1 | 118 |
| 81.2 | 193 |

```
SrTa4Re
1.0
0.000 3.929 3.929
3.929 0.000 3.929
3.929 3.929 0.000
Sr Ta Re
1 4 1
direct
0.000 0.000 0.000
0.125 0.625 0.625
0.625 0.125 0.625
0.625 0.625 0.125
0.625 0.625 0.625
0.250 0.250 0.250
```